# 1
# CuNi9O10
Computed powder diffractogram, λ = 1.5418 Å (Cu Kα). Input: DFT lattice parameters and positions (PBE+U).

Structure:
Cell: 5.160 5.991 6.655 Å, 102.73 97.53 105.83°
Fractional coordinates of all 20 atoms:
Cu 0.000 0.000 0.000
Ni 0.000 0.500 0.000
Ni 0.200 0.900 0.400
Ni 0.202 0.401 0.399
Ni 0.397 0.296 0.801
Ni 0.401 0.796 0.800
Ni 0.599 0.204 0.200
Ni 0.603 0.704 0.199
Ni 0.798 0.599 0.601
Ni 0.800 0.100 0.600
O 0.097 0.448 0.698
O 0.100 0.949 0.700
O 0.296 0.854 0.098
O 0.316 0.371 0.107
O 0.498 0.247 0.498
O 0.502 0.753 0.502
O 0.684 0.629 0.893
O 0.704 0.146 0.902
O 0.900 0.051 0.300
O 0.903 0.552 0.302

The 8 most intense peaks (10° ≤ 2θ ≤ 90°), low angle first:
two_theta  d [Å]  Rel. int.
36.82  2.441  100
42.22  2.140  46
42.96  2.105  43
43.13  2.097  43
61.81  1.501  26
61.94  1.498  25
62.51  1.486  25
78.33  1.221  24

# 2
# CuNi2P2O8
Computed powder diffractogram, λ = 1.5418 Å (Cu Kα). Input: DFT lattice parameters and positions (PBE+U).

Structure:
Cell: 4.735 9.554 8.007 Å, 90.00 125.89 90.00°
Fractional coordinates of all 26 atoms:
Cu 0.000 0.000 0.000
Cu 0.000 0.500 0.500
Ni 0.173 0.126 0.648
Ni 0.173 0.374 0.148
Ni 0.827 0.626 0.852
Ni 0.827 0.874 0.352
P 0.339 0.676 0.349
P 0.339 0.824 0.849
P 0.661 0.176 0.151
P 0.661 0.324 0.651
O 0.083 0.583 0.159
O 0.083 0.917 0.659
O 0.215 0.672 0.824
O 0.215 0.828 0.324
O 0.300 0.175 0.116
O 0.300 0.325 0.616
O 0.386 0.612 0.545
O 0.386 0.888 0.045
O 0.614 0.112 0.955
O 0.614 0.388 0.455
O 0.700 0.675 0.384
O 0.700 0.825 0.884
O 0.785 0.172 0.676
O 0.785 0.328 0.176
O 0.917 0.083 0.341
O 0.917 0.417 0.841

The 8 most intense peaks (10° ≤ 2θ ≤ 90°), low angle first:
two_theta  d [Å]  Rel. int.
20.94  4.242  43
23.16  3.840  47
23.33  3.813  40
29.07  3.071  100
33.92  2.643  84
34.92  2.570  33
38.01  2.367  49
42.88  2.109  38

# 3
# Ti3Cu2NiP6O24
Computed powder diffractogram, λ = 1.5418 Å (Cu Kα). Input: DFT lattice parameters and positions (PBE+U).

Structure:
Cell: 8.533 8.533 8.533 Å, 60.70 60.70 60.70°
Fractional coordinates of all 36 atoms:
Ti 0.000 0.000 0.000
Ti 0.213 0.213 0.213
Ti 0.711 0.711 0.711
Cu 0.357 0.357 0.357
Cu 0.857 0.857 0.857
Ni 0.497 0.497 0.497
P 0.105 0.812 0.400
P 0.311 0.603 0.898
P 0.400 0.105 0.812
P 0.603 0.898 0.311
P 0.812 0.400 0.105
P 0.898 0.311 0.603
O 0.025 0.871 0.244
O 0.094 0.307 0.438
O 0.113 0.763 0.933
O 0.168 0.976 0.355
O 0.244 0.025 0.871
O 0.265 0.621 0.401
O 0.307 0.438 0.094
O 0.339 0.547 0.743
O 0.355 0.168 0.976
O 0.401 0.265 0.621
O 0.438 0.094 0.307
O 0.475 0.669 0.851
O 0.547 0.743 0.339
O 0.597 0.943 0.798
O 0.621 0.401 0.265
O 0.669 0.851 0.475
O 0.743 0.339 0.547
O 0.763 0.933 0.113
O 0.798 0.597 0.943
O 0.851 0.475 0.669
O 0.871 0.244 0.025
O 0.933 0.113 0.763
O 0.943 0.798 0.597
O 0.976 0.355 0.168

The 8 most intense peaks (10° ≤ 2θ ≤ 90°), low angle first:
two_theta  d [Å]  Rel. int.
20.60  4.311  87
24.31  3.661  100
25.35  3.514  22
33.17  2.701  74
36.09  2.489  37
47.56  1.912  34
49.82  1.830  27
56.48  1.629  24

# 4
# CuNiPb2O6
Computed powder diffractogram, λ = 1.5418 Å (Cu Kα). Input: DFT lattice parameters and positions (PBE+U).

Structure:
Cell: 5.746 5.746 5.746 Å, 56.83 56.83 56.83°
Fractional coordinates of all 10 atoms:
Cu 0.000 0.000 0.000
Ni 0.502 0.502 0.502
Pb 0.215 0.215 0.215
Pb 0.716 0.716 0.716
O 0.129 0.791 0.387
O 0.292 0.630 0.885
O 0.387 0.129 0.791
O 0.630 0.885 0.292
O 0.791 0.387 0.129
O 0.885 0.292 0.630

The 8 most intense peaks (10° ≤ 2θ ≤ 90°), low angle first:
two_theta  d [Å]  Rel. int.
22.47  3.957  77
31.21  2.866  100
32.75  2.734  90
40.09  2.249  20
45.87  1.978  40
50.60  1.804  41
57.50  1.603  39
58.47  1.579  26

# 5
# Pr3Cu2NiO9
Computed powder diffractogram, λ = 1.5418 Å (Cu Kα). Input: DFT lattice parameters and positions (PBE+U).

Structure:
Cell: 5.439 5.439 6.666 Å, 90.00 90.00 120.00°
Fractional coordinates of all 15 atoms:
Pr 0.000 0.000 0.000
Pr 0.333 0.667 0.661
Pr 0.667 0.333 0.339
Cu 0.333 0.667 0.166
Cu 0.667 0.333 0.834
Ni 0.000 0.000 0.500
O 0.000 0.500 0.000
O 0.167 0.334 0.334
O 0.167 0.833 0.334
O 0.334 0.167 0.666
O 0.500 0.000 0.000
O 0.500 0.500 0.000
O 0.666 0.833 0.334
O 0.833 0.167 0.666
O 0.833 0.666 0.666

The 8 most intense peaks (10° ≤ 2θ ≤ 90°), low angle first:
two_theta  d [Å]  Rel. int.
23.12  3.847  10
32.93  2.720  100
40.62  2.221  15
47.26  1.923  31
58.80  1.570  38
69.06  1.360  18
78.65  1.216  16
87.93  1.110  6

# 6
# Sr2Cu3NiO6
Computed powder diffractogram, λ = 1.5418 Å (Cu Kα). Input: DFT lattice parameters and positions (PBE+U).

Structure:
Cell: 3.724 3.724 11.472 Å, 90.00 90.00 90.00°
Fractional coordinates of all 12 atoms:
Sr 0.000 0.000 0.205
Sr 0.000 0.000 0.795
Cu 0.500 0.500 0.000
Cu 0.500 0.500 0.370
Cu 0.500 0.500 0.630
Ni 0.000 0.000 0.500
O 0.000 0.500 0.385
O 0.000 0.500 0.615
O 0.500 0.000 0.385
O 0.500 0.000 0.615
O 0.500 0.500 0.158
O 0.500 0.500 0.842

The 8 most intense peaks (10° ≤ 2θ ≤ 90°), low angle first:
two_theta  d [Å]  Rel. int.
28.58  3.123  22
33.59  2.668  100
34.05  2.633  72
39.27  2.294  15
39.67  2.272  29
48.92  1.862  42
60.65  1.527  35
64.45  1.446  12